(1)
Diffraction record for CsNaMg6. The powder XRD pattern is calculated, not measured: it uses a cell relaxed with GGA-PBE and copper Kα.
No peak broadening, texture or thermal motion is included.

Peak list (10 most intense, 10 to 80 degrees two-theta, by intensity)
2θ/deg	I (rel.)
32.86	100.0
21.63	58.5
34.13	53.8
14.04	46.3
28.29	39.6
33.09	34.9
22.10	26.1
44.07	23.0
16.37	22.5
14.74	22.4

Structure:
Cell: 5.415 7.060 7.060 Å, 63.34 90.00 90.00°
Sites, in units of the cell vectors:
Cs1 0.000 0.000 0.000
Na1 0.500 0.170 0.170
Mg1 0.000 0.488 0.488
Mg2 0.000 0.514 0.984
Mg3 0.000 0.984 0.514
Mg4 0.500 0.186 0.608
Mg5 0.500 0.608 0.186
Mg6 0.500 0.659 0.659


(2)
Diffraction record for CsNaMg14. The powder XRD pattern is calculated, not measured: it uses a cell relaxed with GGA-PBE and copper Kα.
No peak broadening, texture or thermal motion is included.

Peak list (10 most intense, 10 to 80 degrees two-theta, by intensity)
2θ/deg	I (rel.)
35.12	100.0
17.35	30.9
30.86	26.6
33.07	25.3
22.46	20.2
65.58	18.9
60.40	18.2
54.87	17.3
45.86	17.0
15.29	16.0

Structure:
Cell: 6.693 6.693 10.835 Å, 90.00 90.00 120.00°
Sites, in units of the cell vectors:
Cs1 0.000 0.000 0.000
Na1 0.000 0.000 0.500
Mg1 0.003 0.502 0.500
Mg2 0.004 0.502 0.000
Mg3 0.176 0.351 0.265
Mg4 0.176 0.351 0.735
Mg5 0.176 0.824 0.265
Mg6 0.176 0.824 0.735
Mg7 0.498 0.502 0.000
Mg8 0.498 0.502 0.500
Mg9 0.498 0.996 0.000
Mg10 0.498 0.997 0.500
Mg11 0.649 0.824 0.265
Mg12 0.649 0.824 0.735
Mg13 0.667 0.333 0.246
Mg14 0.667 0.333 0.754


(3)
Diffraction record for CsNaMg14O15. The powder XRD pattern is calculated, not measured: it uses a cell relaxed with GGA-PBE and copper Kα.
No peak broadening, texture or thermal motion is included.

Peak list (10 most intense, 10 to 80 degrees two-theta, by intensity)
2θ/deg	I (rel.)
40.74	100.0
35.52	28.5
58.97	28.2
10.34	23.2
42.24	20.8
30.77	18.2
22.60	17.7
29.01	17.0
60.18	15.5
14.38	13.7

Structure:
Cell: 4.425 8.870 8.557 Å, 90.00 90.00 90.00°
Sites, in units of the cell vectors:
Cs1 0.000 0.000 0.000
Na1 0.000 0.500 0.403
Mg1 0.000 0.000 0.425
Mg2 0.000 0.250 0.655
Mg3 0.000 0.284 0.151
Mg4 0.000 0.500 0.891
Mg5 0.000 0.716 0.151
Mg6 0.000 0.750 0.655
Mg7 0.500 0.000 0.171
Mg8 0.500 0.000 0.656
Mg9 0.500 0.254 0.399
Mg10 0.500 0.259 0.892
Mg11 0.500 0.500 0.148
Mg12 0.500 0.500 0.641
Mg13 0.500 0.741 0.892
Mg14 0.500 0.746 0.399
O1 0.000 0.000 0.650
O2 0.000 0.224 0.381
O3 0.000 0.273 0.899
O4 0.000 0.500 0.138
O5 0.000 0.500 0.656
O6 0.000 0.727 0.899
O7 0.000 0.776 0.381
O8 0.500 0.000 0.398
O9 0.500 0.000 0.888
O10 0.500 0.240 0.145
O11 0.500 0.252 0.644
O12 0.500 0.500 0.390
O13 0.500 0.500 0.901
O14 0.500 0.748 0.644
O15 0.500 0.760 0.145


(4)
Diffraction record for CsNaMg14O15. The powder XRD pattern is calculated, not measured: it uses a cell relaxed with GGA-PBE and copper Kα.
No peak broadening, texture or thermal motion is included.

Peak list (10 most intense, 10 to 80 degrees two-theta, by intensity)
2θ/deg	I (rel.)
43.08	100.0
43.23	89.6
22.79	85.5
27.04	82.5
34.59	70.8
10.57	64.8
29.07	60.8
62.67	52.0
32.98	47.8
51.65	36.3

Structure:
Cell: 4.200 8.372 10.694 Å, 90.00 90.00 90.00°
Sites, in units of the cell vectors:
Cs1 0.000 0.000 0.000
Na1 0.000 0.500 0.584
Mg1 0.000 0.000 0.541
Mg2 0.000 0.230 0.332
Mg3 0.000 0.251 0.743
Mg4 0.000 0.500 0.044
Mg5 0.000 0.749 0.743
Mg6 0.000 0.770 0.332
Mg7 0.500 0.000 0.334
Mg8 0.500 0.000 0.730
Mg9 0.500 0.258 0.138
Mg10 0.500 0.260 0.546
Mg11 0.500 0.500 0.353
Mg12 0.500 0.500 0.834
Mg13 0.500 0.740 0.546
Mg14 0.500 0.742 0.138
O1 0.000 0.000 0.351
O2 0.000 0.000 0.737
O3 0.000 0.245 0.542
O4 0.000 0.303 0.151
O5 0.000 0.500 0.819
O6 0.000 0.697 0.151
O7 0.000 0.755 0.542
O8 0.500 0.000 0.147
O9 0.500 0.000 0.538
O10 0.500 0.251 0.755
O11 0.500 0.268 0.333
O12 0.500 0.500 0.031
O13 0.500 0.500 0.530
O14 0.500 0.732 0.333
O15 0.500 0.749 0.755


(5)
Diffraction record for CsNaMg14O15. The powder XRD pattern is calculated, not measured: it uses a cell relaxed with GGA-PBE and copper Kα.
No peak broadening, texture or thermal motion is included.

Peak list (10 most intense, 10 to 80 degrees two-theta, by intensity)
2θ/deg	I (rel.)
40.89	100.0
40.51	96.3
58.91	60.1
42.33	56.7
35.52	51.2
10.36	41.8
30.81	35.2
14.37	34.4
60.03	28.1
23.09	25.3

Structure:
Cell: 4.414 8.907 8.542 Å, 90.00 90.00 90.00°
Sites, in units of the cell vectors:
Cs1 0.000 0.000 0.000
Na1 0.000 0.500 0.116
Mg1 0.000 0.000 0.583
Mg2 0.000 0.248 0.347
Mg3 0.000 0.285 0.862
Mg4 0.000 0.500 0.604
Mg5 0.000 0.715 0.862
Mg6 0.000 0.752 0.347
Mg7 0.500 0.000 0.345
Mg8 0.500 0.000 0.840
Mg9 0.500 0.251 0.606
Mg10 0.500 0.262 0.113
Mg11 0.500 0.500 0.356
Mg12 0.500 0.500 0.861
Mg13 0.500 0.738 0.113
Mg14 0.500 0.749 0.606
O1 0.000 0.000 0.359
O2 0.000 0.235 0.622
O3 0.000 0.260 0.107
O4 0.000 0.500 0.377
O5 0.000 0.500 0.838
O6 0.000 0.740 0.107
O7 0.000 0.765 0.622
O8 0.500 0.000 0.113
O9 0.500 0.000 0.612
O10 0.500 0.242 0.858
O11 0.500 0.251 0.361
O12 0.500 0.500 0.103
O13 0.500 0.500 0.613
O14 0.500 0.749 0.361
O15 0.500 0.758 0.858


(6)
Diffraction record for CsMg6Nb. The powder XRD pattern is calculated, not measured: it uses a cell relaxed with GGA-PBE and copper Kα.
No peak broadening, texture or thermal motion is included.

Peak list (10 most intense, 10 to 80 degrees two-theta, by intensity)
2θ/deg	I (rel.)
34.80	100.0
15.04	55.1
32.01	49.8
22.49	38.0
23.05	36.0
33.62	33.1
60.88	19.0
25.71	16.0
36.28	15.4
47.10	15.2

Structure:
Cell: 5.331 6.578 6.578 Å, 63.56 90.00 90.00°
Sites, in units of the cell vectors:
Cs1 0.000 0.000 0.000
Mg1 0.000 0.453 0.453
Mg2 0.000 0.524 0.938
Mg3 0.000 0.938 0.524
Mg4 0.500 0.288 0.288
Mg5 0.500 0.337 0.767
Mg6 0.500 0.767 0.337
Nb1 0.500 0.780 0.780


(7)
Diffraction record for CsMg6Nb. The powder XRD pattern is calculated, not measured: it uses a cell relaxed with GGA-PBE and copper Kα.
No peak broadening, texture or thermal motion is included.

Peak list (10 most intense, 10 to 80 degrees two-theta, by intensity)
2θ/deg	I (rel.)
32.98	100.0
17.46	59.1
35.34	38.6
27.76	36.5
24.79	33.8
57.35	27.3
61.95	23.6
50.83	23.1
45.52	22.7
21.41	16.9

Structure:
Cell: 7.183 7.183 4.150 Å, 90.00 90.00 90.00°
Sites, in units of the cell vectors:
Cs1 0.000 0.000 0.000
Mg1 0.000 0.500 0.000
Mg2 0.293 0.293 0.500
Mg3 0.293 0.707 0.500
Mg4 0.500 0.000 0.000
Mg5 0.707 0.293 0.500
Mg6 0.707 0.707 0.500
Nb1 0.500 0.500 0.000


(8)
Diffraction record for CsMg6Ni. The powder XRD pattern is calculated, not measured: it uses a cell relaxed with GGA-PBE and copper Kα.
No peak broadening, texture or thermal motion is included.

Peak list (10 most intense, 10 to 80 degrees two-theta, by intensity)
2θ/deg	I (rel.)
20.56	100.0
28.26	84.0
15.23	56.5
36.49	55.4
27.45	47.8
24.58	39.8
29.36	34.4
46.39	31.2
19.18	29.6
38.93	28.8

Structure:
Cell: 4.627 9.628 9.628 Å, 37.17 90.00 90.00°
Sites, in units of the cell vectors:
Cs1 0.000 0.000 0.000
Mg1 0.000 0.489 0.971
Mg2 0.000 0.971 0.489
Mg3 0.500 0.103 0.575
Mg4 0.500 0.177 0.177
Mg5 0.500 0.575 0.103
Mg6 0.500 0.654 0.654
Ni1 0.000 0.337 0.337